# CeHfMg14O16
Computed X-ray diffraction stick pattern, λ = 1.5418 Å (Cu Kα). Input: a structure optimized by DFT (GGA-PBE).

Atomic structure:
Lattice parameters (Å, degrees): 4.4336 8.8180 8.8770 90.00 90.00 90.00
Space group Pmmm (No. 47)
Asymmetric unit:
Ce 0.0000 0.0000 0.0000 x1
Hf 0.0000 0.0000 0.5000 x1
Mg 0.0000 0.2626 0.2532 x4
Mg 0.0000 0.5000 0.0000 x1
Mg 0.0000 0.5000 0.5000 x1
Mg 0.5000 0.0000 0.2570 x2
Mg 0.5000 0.2605 0.5000 x2
Mg 0.5000 0.2677 0.0000 x2
Mg 0.5000 0.5000 0.2519 x2
O 0.0000 0.0000 0.2618 x2
O 0.0000 0.2579 0.5000 x2
O 0.0000 0.2712 0.0000 x2
O 0.0000 0.5000 0.2540 x2
O 0.5000 0.0000 0.0000 x1
O 0.5000 0.0000 0.5000 x1
O 0.5000 0.2520 0.2503 x4
O 0.5000 0.5000 0.0000 x1
O 0.5000 0.5000 0.5000 x1

Largest 10 diffraction maxima, by angle, 15 to 90 degrees two-theta:
| two_theta | d/Å | intensity | (hkl) |
| --- | --- | --- | --- |
| 20.02 | 4.436 | 49.1 | 0 0 2 |
| 22.44 | 3.963 | 72.6 | 1 1 0 |
| 28.51 | 3.130 | 63.0 | 0 2 2 |
| 30.24 | 2.955 | 38.7 | 1 1 2 |
| 35.11 | 2.556 | 58.0 | 1 2 2 |
| 40.68 | 2.218 | 100.0 | 2 0 0 |
| 40.94 | 2.205 | 47.4 | 0 4 0 |
| 58.88 | 1.568 | 30.2 | 2 0 4 |
| 59.08 | 1.564 | 57.7 | 2 4 0 |
| 74.20 | 1.278 | 27.1 | 2 4 4 |


# NaCeHf2O6
Computed X-ray diffraction stick pattern, λ = 1.5418 Å (Cu Kα). Input: a structure optimized by DFT (GGA-PBE).

Atomic structure:
Lattice parameters (Å, degrees): 8.2010 8.2010 8.2010 90.00 90.00 90.00
Space group Fm-3m (No. 225)
Asymmetric unit:
Na 0.0000 0.0000 0.0000 x4
Ce 0.0000 0.0000 0.5000 x4
Hf 0.2500 0.2500 0.2500 x8
O 0.0000 0.2500 0.2500 x24

Largest 10 diffraction maxima, by angle, 15 to 90 degrees two-theta:
| two_theta | d/Å | intensity | (hkl) |
| --- | --- | --- | --- |
| 18.74 | 4.735 | 12.9 | 1 1 1 |
| 21.67 | 4.100 | 25.7 | 2 0 0 |
| 30.84 | 2.899 | 100.0 | 2 2 0 |
| 36.33 | 2.473 | 7.4 | 3 1 1 |
| 44.17 | 2.050 | 29.9 | 4 0 0 |
| 49.72 | 1.834 | 11.1 | 4 2 0 |
| 54.84 | 1.674 | 40.8 | 4 2 2 |
| 64.25 | 1.450 | 18.6 | 4 4 0 |
| 72.96 | 1.297 | 17.7 | 6 2 0 |
| 89.41 | 1.096 | 21.9 | 6 4 2 |


Please write out number 2 again, unchanged.
# NaCeHf2O6
Computed X-ray diffraction stick pattern, λ = 1.5418 Å (Cu Kα). Input: a structure optimized by DFT (GGA-PBE).

Atomic structure:
Lattice parameters (Å, degrees): 8.2010 8.2010 8.2010 90.00 90.00 90.00
Space group Fm-3m (No. 225)
Asymmetric unit:
Na 0.0000 0.0000 0.0000 x4
Ce 0.0000 0.0000 0.5000 x4
Hf 0.2500 0.2500 0.2500 x8
O 0.0000 0.2500 0.2500 x24

Largest 10 diffraction maxima, by angle, 15 to 90 degrees two-theta:
| two_theta | d/Å | intensity | (hkl) |
| --- | --- | --- | --- |
| 18.74 | 4.735 | 12.9 | 1 1 1 |
| 21.67 | 4.100 | 25.7 | 2 0 0 |
| 30.84 | 2.899 | 100.0 | 2 2 0 |
| 36.33 | 2.473 | 7.4 | 3 1 1 |
| 44.17 | 2.050 | 29.9 | 4 0 0 |
| 49.72 | 1.834 | 11.1 | 4 2 0 |
| 54.84 | 1.674 | 40.8 | 4 2 2 |
| 64.25 | 1.450 | 18.6 | 4 4 0 |
| 72.96 | 1.297 | 17.7 | 6 2 0 |
| 89.41 | 1.096 | 21.9 | 6 4 2 |


Q: Number 1 is which compound?
A: CeHfMg14O16